(1)
Diffraction record for AlP2RuS. The powder diffraction line list is computed, not measured: it uses DFT lattice parameters and positions (PBE) and Cu Kα.

Atomic structure:
a b c (Å): 4.427 4.427 5.213
angles (deg): 90.00 90.00 90.00
Positions (direct):
Al 0.000 0.000 0.000
P 0.000 0.500 0.500
P 0.500 0.000 0.500
Ru 0.500 0.500 0.500
S 0.500 0.500 0.000

Peak list (6 most intense, 15 to 90 degrees two-theta, low angle first)
2θ 17.0, I 67
2θ 20.1, I 100
2θ 26.4, I 77
2θ 34.4, I 52
2θ 40.8, I 63
2θ 54.4, I 52


(2)
Diffraction record for Tl2C3O4. The powder diffraction line list is computed, not measured: it uses DFT lattice parameters and positions (PBE) and Cu Kα.

Atomic structure:
a b c (Å): 7.540 7.540 7.499
angles (deg): 105.81 105.81 54.63
Positions (direct):
Tl 0.094 0.094 0.294
Tl 0.207 0.270 0.840
Tl 0.730 0.793 0.160
Tl 0.906 0.906 0.706
C 0.288 0.389 0.401
C 0.371 0.629 0.000
C 0.415 0.489 0.469
C 0.511 0.585 0.531
C 0.598 0.402 0.000
C 0.611 0.712 0.599
O 0.136 0.456 0.494
O 0.196 0.629 0.966
O 0.334 0.244 0.255
O 0.371 0.804 0.034
O 0.544 0.864 0.506
O 0.594 0.231 0.930
O 0.756 0.666 0.745
O 0.769 0.406 0.070

Peak list (6 most intense, 15 to 90 degrees two-theta, low angle first)
2θ 24.5, I 69
2θ 25.7, I 48
2θ 26.9, I 31
2θ 27.1, I 100
2θ 30.5, I 55
2θ 37.6, I 33


(3)
Diffraction record for Pu4S5. The powder diffraction line list is computed, not measured: it uses DFT lattice parameters and positions (PBE) and Cu Kα.

Atomic structure:
a b c (Å): 8.093 8.093 8.093
angles (deg): 93.24 93.24 152.47
Positions (direct):
Pu 0.091 0.219 0.311
Pu 0.219 0.909 0.128
Pu 0.781 0.091 0.872
Pu 0.909 0.781 0.689
S 0.000 0.000 0.000
S 0.258 0.404 0.662
S 0.404 0.742 0.146
S 0.596 0.258 0.854
S 0.742 0.596 0.338

Peak list (6 most intense, 15 to 90 degrees two-theta, low angle first)
2θ 24.5, I 64
2θ 25.3, I 100
2θ 29.3, I 81
2θ 36.1, I 52
2θ 37.4, I 75
2θ 40.9, I 61